Record 1
Diffraction record for BiC3O6. The powder diffraction line list is simulated, not measured: it uses the PBE geometry in the Materials Project and Cu Kα.

Top 10 peaks for 5 to 70 degrees two-theta, sorted by position:
| h k l | two_theta | I (rel.) |
| --- | --- | --- |
| 1 1 0 | 16.26 | 100 |
| 0 1 1 | 22.84 | 41 |
| 2 0 1 | 28.17 | 20 |
| 3 0 0 | 28.36 | 16 |
| 1 2 1 | 32.70 | 53 |
| 2 2 0 | 32.86 | 29 |
| 3 1 1 | 40.40 | 24 |
| 1 0 2 | 43.42 | 13 |
| 4 1 0 | 43.95 | 15 |
| 2 3 1 | 47.04 | 19 |

Structure:
Cell: 10.9012 10.9012 4.2733 Å, 90.00 90.00 120.00°
Space group P3m1 (No. 156)
Symmetry-distinct sites (fractional):
Bi: 0.0000 0.0000 0.0000 (multiplicity 1)
Bi: 0.3333 0.6667 0.2954 (multiplicity 1)
Bi: 0.6667 0.3333 0.6421 (multiplicity 1)
C: 0.1815 0.3631 0.8794 (multiplicity 3)
C: 0.2997 0.1499 0.5505 (multiplicity 3)
C: 0.5164 0.0328 0.1998 (multiplicity 3)
O: 0.0641 0.5320 0.3933 (multiplicity 3)
O: 0.1357 0.2713 0.0852 (multiplicity 3)
O: 0.1673 0.0837 0.5684 (multiplicity 3)
O: 0.2479 0.4959 0.8774 (multiplicity 3)
O: 0.3974 0.1987 0.7419 (multiplicity 3)
O: 0.5826 0.1653 0.2146 (multiplicity 3)



Record 2
Diffraction record for FeSnRh2. The powder diffraction line list is simulated, not measured: it uses the PBE geometry in the Materials Project and Cu Kα.

Top 10 peaks for 5 to 70 degrees two-theta, sorted by position:
| h k l | two_theta | I (rel.) |
| --- | --- | --- |
| 1 0 1 | 24.81 | 8 |
| 1 1 0 | 30.36 | 1 |
| 1 1 2 | 39.83 | 100 |
| 2 0 0 | 43.47 | 39 |
| 1 0 3 | 44.12 | 2 |
| 2 1 1 | 50.69 | 3 |
| 0 0 4 | 51.65 | 12 |
| 2 2 0 | 63.16 | 13 |
| 2 1 3 | 63.66 | 2 |
| 2 0 4 | 69.75 | 19 |

Structure:
Cell: 4.1639 4.1639 7.0783 Å, 90.00 90.00 90.00°
Space group I4/mmm (No. 139)
Symmetry-distinct sites (fractional):
Fe: 0.0000 0.0000 0.0000 (multiplicity 2)
Sn: 0.0000 0.0000 0.5000 (multiplicity 2)
Rh: 0.0000 0.5000 0.2500 (multiplicity 4)



Record 3
Diffraction record for BaIn2Au2. The powder diffraction line list is simulated, not measured: it uses the PBE geometry in the Materials Project and Cu Kα.

Top 10 peaks for 5 to 70 degrees two-theta, sorted by position:
| h k l | two_theta | I (rel.) |
| --- | --- | --- |
| 1 0 3 | 23.40 | 25 |
| 2 1 1 | 28.08 | 46 |
| 1 1 3 | 29.88 | 100 |
| 3 0 2 | 33.25 | 31 |
| 3 1 1 | 36.10 | 31 |
| 3 0 3 | 36.98 | 23 |
| 0 2 0 | 37.14 | 56 |
| 0 1 5 | 40.35 | 27 |
| 3 1 3 | 41.57 | 22 |
| 2 1 5 | 45.36 | 25 |

Structure:
Cell: 8.9426 4.8414 12.6015 Å, 90.00 90.00 90.00°
Space group Pnma (No. 62)
Symmetry-distinct sites (fractional):
Ba: 0.2201 0.2500 0.1664 (multiplicity 4)
In: 0.1019 0.2500 0.4507 (multiplicity 4)
In: 0.1406 0.2500 0.8584 (multiplicity 4)
Au: 0.0260 0.7500 0.3361 (multiplicity 4)
Au: 0.0899 0.7500 0.9789 (multiplicity 4)



Record 4
Diffraction record for DyAu. The powder diffraction line list is simulated, not measured: it uses the PBE geometry in the Materials Project and Cu Kα.

Top 5 peaks for 5 to 70 degrees two-theta, sorted by position:
| h k l | two_theta | I (rel.) |
| --- | --- | --- |
| 1 0 0 | 24.68 | 1 |
| 1 1 0 | 35.19 | 100 |
| 2 0 0 | 50.62 | 18 |
| 2 1 0 | 57.10 | 1 |
| 2 1 1 | 63.14 | 37 |

Structure:
Cell: 3.6067 3.6067 3.6067 Å, 90.00 90.00 90.00°
Space group Pm-3m (No. 221)
Symmetry-distinct sites (fractional):
Dy: 0.0000 0.0000 0.0000 (multiplicity 1)
Au: 0.5000 0.5000 0.5000 (multiplicity 1)



Record 5
Diffraction record for Al2CuIr. The powder diffraction line list is simulated, not measured: it uses the PBE geometry in the Materials Project and Cu Kα.

Top 10 peaks for 5 to 70 degrees two-theta, sorted by position:
| h k l | two_theta | I (rel.) |
| --- | --- | --- |
| 0 2 0 | 21.85 | 27 |
| 1 1 1 | 26.71 | 100 |
| 0 2 1 | 27.75 | 26 |
| 1 1 2 | 40.20 | 46 |
| 0 2 2 | 40.93 | 40 |
| 1 3 1 | 41.44 | 32 |
| 2 2 0 | 41.77 | 70 |
| 0 4 0 | 44.55 | 29 |
| 2 0 2 | 49.84 | 22 |
| 2 4 2 | 69.05 | 29 |

Structure:
Cell: 5.1059 8.1350 5.2479 Å, 90.00 90.00 90.00°
Space group Cmme (No. 67)
Symmetry-distinct sites (fractional):
Al: 0.0000 0.2500 0.1702 (multiplicity 4)
Al: 0.2500 0.0000 0.5000 (multiplicity 4)
Cu: 0.2500 0.0000 0.0000 (multiplicity 4)
Ir: 0.0000 0.2500 0.6792 (multiplicity 4)



Record 6
Diffraction record for LuAs. The powder diffraction line list is simulated, not measured: it uses the PBE geometry in the Materials Project and Cu Kα.

Top 6 peaks for 5 to 70 degrees two-theta, sorted by position:
| h k l | two_theta | I (rel.) |
| --- | --- | --- |
| 1 1 1 | 27.06 | 28 |
| 2 0 0 | 31.35 | 100 |
| 2 2 0 | 44.93 | 74 |
| 3 1 1 | 53.23 | 14 |
| 2 2 2 | 55.80 | 26 |
| 4 0 0 | 65.41 | 12 |

Structure:
Cell: 5.7069 5.7069 5.7069 Å, 90.00 90.00 90.00°
Space group Fm-3m (No. 225)
Symmetry-distinct sites (fractional):
Lu: 0.0000 0.0000 0.0000 (multiplicity 4)
As: 0.0000 0.0000 0.5000 (multiplicity 4)



Record 7
Diffraction record for PrBPt2. The powder diffraction line list is simulated, not measured: it uses the PBE geometry in the Materials Project and Cu Kα.

Top 10 peaks for 5 to 70 degrees two-theta, sorted by position:
| h k l | two_theta | I (rel.) |
| --- | --- | --- |
| 1 1 0 | 32.43 | 14 |
| 0 0 3 | 33.63 | 41 |
| 1 1 1 | 34.36 | 100 |
| 1 1 2 | 39.68 | 72 |
| 1 1 3 | 47.42 | 10 |
| 1 1 4 | 56.87 | 25 |
| 3 0 1 | 59.09 | 19 |
| 3 0 2 | 62.75 | 17 |
| 1 1 5 | 67.72 | 14 |
| 2 2 0 | 67.89 | 15 |

Structure:
Cell: 5.5220 5.5220 7.9940 Å, 90.00 90.00 120.00°
Space group P6_222 (No. 180)
Symmetry-distinct sites (fractional):
Pr: 0.0000 0.5000 0.1667 (multiplicity 3)
B: 0.0000 0.5000 0.6667 (multiplicity 3)
Pt: 0.1529 0.3057 0.5000 (multiplicity 6)



Record 8
Diffraction record for KHgH2Cl3O. The powder diffraction line list is simulated, not measured: it uses the PBE geometry in the Materials Project and Cu Kα.

Top 10 peaks for 5 to 70 degrees two-theta, sorted by position:
| h k l | two_theta | I (rel.) |
| --- | --- | --- |
| 1 0 1 | 11.21 | 100 |
| 0 0 4 | 19.48 | 12 |
| 2 0 0 | 20.28 | 13 |
| 1 1 2 | 25.09 | 53 |
| 0 1 3 | 25.42 | 17 |
| 1 0 5 | 26.48 | 17 |
| 2 1 1 | 29.56 | 14 |
| 2 1 2 | 30.78 | 15 |
| 2 1 3 | 32.73 | 30 |
| 1 1 8 | 46.29 | 13 |

Structure:
Cell: 8.7567 4.2900 18.2291 Å, 90.00 90.00 90.00°
Space group Pnma (No. 62)
Symmetry-distinct sites (fractional):
K: 0.0976 0.2500 0.1908 (multiplicity 4)
Hg: 0.0462 0.7500 0.4052 (multiplicity 4)
H: 0.0671 0.2500 0.9290 (multiplicity 4)
H: 0.1019 0.7500 0.0443 (multiplicity 4)
Cl: 0.1078 0.2500 0.7097 (multiplicity 4)
Cl: 0.1597 0.7500 0.5340 (multiplicity 4)
Cl: 0.2294 0.2500 0.3685 (multiplicity 4)
O: 0.0384 0.7500 0.0883 (multiplicity 4)



Record 9
Diffraction record for Na2YF6. The powder diffraction line list is simulated, not measured: it uses the PBE geometry in the Materials Project and Cu Kα.

Top 10 peaks for 5 to 70 degrees two-theta, sorted by position:
| h k l | two_theta | I (rel.) |
| --- | --- | --- |
| 1 0 0 | 16.83 | 100 |
| 1 1 0 | 29.37 | 34 |
| 1 0 1 | 30.04 | 57 |
| 2 0 0 | 34.05 | 12 |
| 1 1 1 | 38.74 | 32 |
| 2 0 1 | 42.51 | 67 |
| 2 1 0 | 45.57 | 13 |
| 0 0 2 | 50.64 | 17 |
| 3 0 0 | 52.10 | 31 |
| 2 1 1 | 52.51 | 55 |

Structure:
Cell: 6.0815 6.0815 3.6052 Å, 90.00 90.00 120.00°
Space group P-62m (No. 189)
Symmetry-distinct sites (fractional):
Na: 0.3333 0.6667 0.0000 (multiplicity 2)
Y: 0.0000 0.0000 0.5000 (multiplicity 1)
F: 0.0000 0.2487 0.0000 (multiplicity 3)
F: 0.0000 0.6254 0.5000 (multiplicity 3)



Record 10
Diffraction record for TmFe4Ge2. The powder diffraction line list is simulated, not measured: it uses the PBE geometry in the Materials Project and Cu Kα.

Top 10 peaks for 5 to 70 degrees two-theta, sorted by position:
| h k l | two_theta | I (rel.) |
| --- | --- | --- |
| 1 0 1 | 26.14 | 22 |
| 2 2 0 | 35.30 | 58 |
| 1 2 1 | 36.01 | 90 |
| 2 1 1 | 36.47 | 100 |
| 1 3 0 | 39.06 | 42 |
| 3 1 0 | 40.19 | 33 |
| 2 2 1 | 42.47 | 53 |
| 1 3 1 | 45.73 | 37 |
| 0 0 2 | 46.71 | 99 |
| 2 2 2 | 59.86 | 25 |

Structure:
Cell: 7.0712 7.3188 3.8910 Å, 90.00 90.00 90.00°
Space group Pnnm (No. 58)
Symmetry-distinct sites (fractional):
Tm: 0.0000 0.0000 0.0000 (multiplicity 2)
Fe: 0.0870 0.3537 0.5000 (multiplicity 4)
Fe: 0.1440 0.5979 0.0000 (multiplicity 4)
Ge: 0.2212 0.7909 0.5000 (multiplicity 4)



Record 11
Diffraction record for Li9Ti12NbO30. The powder diffraction line list is simulated, not measured: it uses the PBE geometry in the Materials Project and Cu Kα.

Top 10 peaks for 5 to 70 degrees two-theta, sorted by position:
| h k l | two_theta | I (rel.) |
| --- | --- | --- |
| 1 0 3 | 22.36 | 100 |
| 1 0 5 | 26.67 | 19 |
| 1 1 8 | 34.36 | 56 |
| 1 2 1 | 34.94 | 36 |
| 1 2 6 | 39.95 | 32 |
| 2 0 8 | 49.81 | 32 |
| 2 1 11 | 52.63 | 47 |
| 2 3 -1 | 55.64 | 9 |
| 1 3 -6 | 62.29 | 23 |
| 3 3 2 | 62.66 | 28 |

Structure:
Cell: 5.1353 5.1368 23.8179 Å, 83.84 83.83 60.01°
Space group P1 (No. 1)
Symmetry-distinct sites (fractional):
Li: 0.0000 0.0000 0.0000 (multiplicity 1)
Li: 0.0517 0.0516 0.8448 (multiplicity 1)
Li: 0.2724 0.2720 0.1848 (multiplicity 1)
Li: 0.4162 0.4160 0.7517 (multiplicity 1)
Li: 0.4997 0.4996 0.5010 (multiplicity 1)
Li: 0.5531 0.5524 0.3417 (multiplicity 1)
Li: 0.6341 0.6348 0.0964 (multiplicity 1)
Li: 0.7716 0.7715 0.6852 (multiplicity 1)
Li: 0.9158 0.9156 0.2514 (multiplicity 1)
Ti: 0.0914 0.0914 0.7253 (multiplicity 1)
Ti: 0.1308 0.1299 0.6091 (multiplicity 1)
Ti: 0.1881 0.1881 0.4357 (multiplicity 1)
Ti: 0.2304 0.2296 0.3095 (multiplicity 1)
Ti: 0.3216 0.3223 0.0341 (multiplicity 1)
Ti: 0.3641 0.3640 0.9076 (multiplicity 1)
Ti: 0.4586 0.4588 0.6242 (multiplicity 1)
Ti: 0.5923 0.5927 0.2223 (multiplicity 1)
Ti: 0.6880 0.6881 0.9357 (multiplicity 1)
Ti: 0.7300 0.7297 0.8103 (multiplicity 1)
Ti: 0.8230 0.8231 0.5314 (multiplicity 1)
Ti: 0.8644 0.8640 0.4072 (multiplicity 1)
Nb: 0.9582 0.9586 0.1253 (multiplicity 1)
O: 0.0107 0.6481 0.0706 (multiplicity 1)
O: 0.0218 0.6759 0.8722 (multiplicity 1)
O: 0.0313 0.3768 0.9689 (multiplicity 1)
O: 0.0369 0.4095 0.7694 (multiplicity 1)
O: 0.1218 0.8753 0.4704 (multiplicity 1)
O: 0.1504 0.7891 0.6672 (multiplicity 1)
O: 0.1518 0.4848 0.5706 (multiplicity 1)
O: 0.1760 0.5201 0.3737 (multiplicity 1)
O: 0.2706 0.0115 0.0706 (multiplicity 1)
O: 0.2815 0.6511 0.1720 (multiplicity 1)
O: 0.2886 0.9054 0.2711 (multiplicity 1)
O: 0.3768 0.6226 0.9689 (multiplicity 1)
O: 0.3931 0.1502 0.6672 (multiplicity 1)
O: 0.4097 0.7842 0.7693 (multiplicity 1)
O: 0.4301 0.0218 0.8721 (multiplicity 1)
O: 0.4851 0.7924 0.5705 (multiplicity 1)
O: 0.5208 0.9298 0.3736 (multiplicity 1)
O: 0.5322 0.1216 0.4704 (multiplicity 1)
O: 0.5326 0.2888 0.2707 (multiplicity 1)
O: 0.6224 0.0319 0.9689 (multiplicity 1)
O: 0.6467 0.2704 0.0708 (multiplicity 1)
O: 0.6521 0.8960 0.1724 (multiplicity 1)
O: 0.6757 0.4301 0.8722 (multiplicity 1)
O: 0.7844 0.0365 0.7694 (multiplicity 1)
O: 0.7893 0.3930 0.6672 (multiplicity 1)
O: 0.7926 0.1516 0.5706 (multiplicity 1)
O: 0.8756 0.5320 0.4704 (multiplicity 1)
O: 0.8970 0.2808 0.1721 (multiplicity 1)
O: 0.9060 0.5331 0.2712 (multiplicity 1)
O: 0.9293 0.1756 0.3737 (multiplicity 1)



Record 12
Diffraction record for MgGaAu2. The powder diffraction line list is simulated, not measured: it uses the PBE geometry in the Materials Project and Cu Kα.

Top 10 peaks for 5 to 70 degrees two-theta, sorted by position:
| h k l | two_theta | I (rel.) |
| --- | --- | --- |
| 0 0 2 | 20.43 | 30 |
| 1 0 0 | 23.00 | 27 |
| 1 0 1 | 25.21 | 59 |
| 1 0 3 | 38.83 | 100 |
| 1 1 0 | 40.40 | 83 |
| 1 1 2 | 45.68 | 23 |
| 1 0 4 | 48.01 | 14 |
| 2 0 1 | 48.22 | 11 |
| 2 0 3 | 57.28 | 33 |
| 1 0 6 | 69.23 | 11 |

Structure:
Cell: 4.4649 4.4649 8.6958 Å, 90.00 90.00 120.00°
Space group P6_3/mmc (No. 194)
Symmetry-distinct sites (fractional):
Mg: 0.3333 0.6667 0.2500 (multiplicity 2)
Ga: 0.0000 0.0000 0.0000 (multiplicity 2)
Au: 0.3333 0.6667 0.5895 (multiplicity 4)